# 1
# CaH12I2O12
Simulated PXRD pattern, CuKα. Input: a DFT-relaxed cell (GGA-PBE, Alexandria).
Lines closer than 0.1° are merged.

Crystal structure
Lattice parameters (Å, degrees): 11.9423 8.2638 13.8224 59.27 36.50 84.23
Sites, in units of the cell vectors:
1 Ca 0.0000 0.0000 0.0000
2 Ca 0.2500 0.2500 0.2500
3 H 0.0060 0.7336 0.5215
4 H 0.0158 0.4637 0.4272
5 H 0.0852 0.3769 0.9663
6 H 0.1567 0.8228 0.7863
7 H 0.1966 0.8990 0.5488
8 H 0.2837 0.6784 0.1648
9 H 0.3631 0.9240 0.3421
10 H 0.3769 0.0852 0.5716
11 H 0.4539 0.6642 0.4674
12 H 0.4637 0.0158 0.0933
13 H 0.5111 0.7285 0.5164
14 H 0.6642 0.4539 0.4145
15 H 0.6784 0.2837 0.8731
16 H 0.7012 0.8944 0.0534
17 H 0.7285 0.5111 0.2440
18 H 0.7336 0.0060 0.7389
19 H 0.7826 0.8355 0.7961
20 H 0.8228 0.1567 0.2342
21 H 0.8355 0.7826 0.5858
22 H 0.8792 0.9079 0.3260
23 H 0.8944 0.7012 0.3510
24 H 0.8990 0.1966 0.3556
25 H 0.9079 0.8792 0.8869
26 H 0.9240 0.3631 0.3708
27 I 0.1914 0.4479 0.5274
28 I 0.4167 0.7226 0.8021
29 I 0.4479 0.1914 0.8333
30 I 0.7226 0.4167 0.0586
31 O 0.0068 0.8613 0.4529
32 O 0.0165 0.3233 0.2821
33 O 0.1765 0.5121 0.3144
34 O 0.2166 0.4017 0.6520
35 O 0.2530 0.9356 0.7379
36 O 0.3233 0.0165 0.3782
37 O 0.3485 0.5409 0.7967
38 O 0.4017 0.2166 0.7297
39 O 0.4212 0.7730 0.2663
40 O 0.4533 0.9360 0.9015
41 O 0.5121 0.1765 0.9970
42 O 0.5203 0.5980 0.8483
43 O 0.5409 0.3485 0.3140
44 O 0.5710 0.7971 0.3887
45 O 0.5980 0.5203 0.0334
46 O 0.7105 0.9837 0.4770
47 O 0.7730 0.4212 0.5395
48 O 0.7971 0.5710 0.2432
49 O 0.8613 0.0068 0.6790
50 O 0.8718 0.9679 0.9267
51 O 0.9356 0.2530 0.0735
52 O 0.9360 0.4533 0.7091
53 O 0.9679 0.8718 0.2335
54 O 0.9837 0.7105 0.8288

Largest 10 diffraction maxima, by angle, 15° ≤ 2θ ≤ 90°:
2theta, I (rel.)
15.4, 52
15.7, 59
19.1, 100
22.8, 28
23.3, 48
25.3, 62
28.0, 47
30.7, 35
34.5, 47
48.6, 27

***

# 2
# SrNd2Te4
Simulated PXRD pattern, CuKα. Input: a DFT-relaxed cell (GGA-PBE, Alexandria).
Lines closer than 0.1° are merged.

Crystal structure
Lattice parameters (Å, degrees): 7.7514 7.7514 15.5629 90.00 90.00 146.11
Sites, in units of the cell vectors:
1 Sr 0.1136 0.8864 0.7500
2 Sr 0.8864 0.1136 0.2500
3 Nd 0.3654 0.6346 0.5690
4 Nd 0.3654 0.6346 0.9310
5 Nd 0.6346 0.3654 0.0690
6 Nd 0.6346 0.3654 0.4310
7 Te 0.0000 0.0000 0.0000
8 Te 0.0000 0.0000 0.5000
9 Te 0.2735 0.7265 0.1192
10 Te 0.2735 0.7265 0.3808
11 Te 0.4531 0.5469 0.7500
12 Te 0.5469 0.4531 0.2500
13 Te 0.7265 0.2735 0.6192
14 Te 0.7265 0.2735 0.8808

Largest 10 diffraction maxima, by angle, 15° ≤ 2θ ≤ 90°:
2theta, I (rel.)
20.9, 36
25.9, 87
26.7, 40
27.3, 100
29.1, 94
35.5, 62
39.9, 45
40.3, 52
40.4, 43
48.2, 31

***

# 3
# B2TeCl8
Simulated PXRD pattern, CuKα. Input: a DFT-relaxed cell (GGA-PBE, Alexandria).
Lines closer than 0.1° are merged.

Crystal structure
Lattice parameters (Å, degrees): 6.8914 6.8914 7.8516 91.92 91.92 80.60
Sites, in units of the cell vectors:
1 B 0.2125 0.2125 0.2116
2 B 0.7875 0.7875 0.7884
3 Te 0.0000 0.0000 0.5000
4 Cl 0.0657 0.7215 0.7280
5 Cl 0.2292 0.2292 0.9863
6 Cl 0.2785 0.9343 0.2720
7 Cl 0.3569 0.3569 0.3425
8 Cl 0.6431 0.6431 0.6575
9 Cl 0.7215 0.0657 0.7280
10 Cl 0.7708 0.7708 0.0137
11 Cl 0.9343 0.2785 0.2720

Largest 10 diffraction maxima, by angle, 15° ≤ 2θ ≤ 90°:
2theta, I (rel.)
17.5, 100
19.9, 50
20.8, 69
26.6, 24
28.3, 77
30.1, 46
30.4, 33
39.2, 25
39.8, 25
41.2, 25

***

# 4
# PrCu3Sb3
Simulated PXRD pattern, CuKα. Input: a DFT-relaxed cell (GGA-PBE, Alexandria).
Lines closer than 0.1° are merged.

Crystal structure
Lattice parameters (Å, degrees): 7.0729 7.0729 7.0729 90.00 90.00 90.00
Sites, in units of the cell vectors:
1 Pr 0.0000 0.0000 0.0000
2 Pr 0.5000 0.5000 0.5000
3 Cu 0.0000 0.2500 0.5000
4 Cu 0.0000 0.7500 0.5000
5 Cu 0.2500 0.5000 0.0000
6 Cu 0.5000 0.0000 0.2500
7 Cu 0.5000 0.0000 0.7500
8 Cu 0.7500 0.5000 0.0000
9 Sb 0.0000 0.5000 0.2500
10 Sb 0.0000 0.5000 0.7500
11 Sb 0.2500 0.0000 0.5000
12 Sb 0.5000 0.2500 0.0000
13 Sb 0.5000 0.7500 0.0000
14 Sb 0.7500 0.0000 0.5000

Largest 10 diffraction maxima, by angle, 15° ≤ 2θ ≤ 90°:
2theta, I (rel.)
25.2, 42
31.0, 100
44.4, 20
48.1, 58
51.7, 27
58.3, 16
61.5, 14
73.3, 16
76.1, 16
84.4, 17

***

# 5
# ErW6
Simulated PXRD pattern, CuKα. Input: a DFT-relaxed cell (GGA-PBE, Alexandria).
Lines closer than 0.1° are merged.

Crystal structure
Lattice parameters (Å, degrees): 6.1218 6.1218 6.1218 109.47 109.47 109.47
Sites, in units of the cell vectors:
1 Er 0.0000 0.0000 0.0000
2 W 0.2500 0.5000 0.7500
3 W 0.2500 0.7500 0.5000
4 W 0.5000 0.2500 0.7500
5 W 0.5000 0.7500 0.2500
6 W 0.7500 0.2500 0.5000
7 W 0.7500 0.5000 0.2500

Largest 10 diffraction maxima, by angle, 15° ≤ 2θ ≤ 90°:
2theta, I (rel.)
17.7, 27
25.2, 42
31.0, 100
44.4, 38
48.2, 60
51.7, 34
58.4, 17
73.4, 17
76.2, 22
84.5, 18

***

# 6
# CoH9C3N6
Simulated PXRD pattern, CuKα. Input: a DFT-relaxed cell (GGA-PBE, Alexandria).
Lines closer than 0.1° are merged.

Crystal structure
Lattice parameters (Å, degrees): 7.4105 7.4105 7.4105 97.21 97.21 97.21
Sites, in units of the cell vectors:
1 Co 0.0000 0.0000 0.0000
2 Co 0.5000 0.5000 0.5000
3 H 0.1614 0.4290 0.3522
4 H 0.1963 0.6348 0.4753
5 H 0.2630 0.6067 0.2711
6 H 0.2711 0.2630 0.6067
7 H 0.3522 0.1614 0.4290
8 H 0.3652 0.5247 0.8037
9 H 0.3933 0.7289 0.7370
10 H 0.4290 0.3522 0.1614
11 H 0.4753 0.1963 0.6348
12 H 0.5247 0.8037 0.3652
13 H 0.5710 0.6478 0.8386
14 H 0.6067 0.2711 0.2630
15 H 0.6348 0.4753 0.1963
16 H 0.6478 0.8386 0.5710
17 H 0.7289 0.7370 0.3933
18 H 0.7370 0.3933 0.7289
19 H 0.8037 0.3652 0.5247
20 H 0.8386 0.5710 0.6478
21 C 0.0533 0.8687 0.7850
22 C 0.1313 0.2150 0.9467
23 C 0.2150 0.9467 0.1313
24 C 0.7850 0.0533 0.8687
25 C 0.8687 0.7850 0.0533
26 C 0.9467 0.1313 0.2150
27 N 0.0830 0.7824 0.6504
28 N 0.2176 0.3496 0.9170
29 N 0.2557 0.5465 0.3878
30 N 0.3496 0.9170 0.2176
31 N 0.3878 0.2557 0.5465
32 N 0.4535 0.6122 0.7443
33 N 0.5465 0.3878 0.2557
34 N 0.6122 0.7443 0.4535
35 N 0.6504 0.0830 0.7824
36 N 0.7443 0.4535 0.6122
37 N 0.7824 0.6504 0.0830
38 N 0.9170 0.2176 0.3496

Largest 10 diffraction maxima, by angle, 15° ≤ 2θ ≤ 90°:
2theta, I (rel.)
15.9, 100
18.4, 58
24.5, 10
29.3, 64
37.4, 11
40.9, 25
43.0, 10
44.1, 9
47.2, 13
53.0, 11

***

# 7
# Dy2TmSc
Simulated PXRD pattern, CuKα. Input: a DFT-relaxed cell (GGA-PBE, Alexandria).
Lines closer than 0.1° are merged.

Crystal structure
Lattice parameters (Å, degrees): 11.3244 11.3244 11.3244 17.72 17.72 17.72
Sites, in units of the cell vectors:
1 Dy 0.0000 0.0000 0.0000
2 Dy 0.1609 0.1609 0.1609
3 Tm 0.5806 0.5806 0.5806
4 Sc 0.7467 0.7467 0.7467

Largest 10 diffraction maxima, by angle, 15° ≤ 2θ ≤ 90°:
2theta, I (rel.)
30.1, 60
32.1, 46
32.5, 100
35.1, 94
40.2, 18
48.6, 22
52.5, 36
55.8, 17
60.9, 21
62.9, 40

***

# 8
# Cs2KAg2
Simulated PXRD pattern, CuKα. Input: a DFT-relaxed cell (GGA-PBE, Alexandria).
Lines closer than 0.1° are merged.

Crystal structure
Lattice parameters (Å, degrees): 10.7035 10.7035 4.2783 90.00 90.00 90.00
Sites, in units of the cell vectors:
1 Cs 0.1336 0.3664 0.0000
2 Cs 0.3664 0.8664 0.0000
3 Cs 0.6336 0.1336 0.0000
4 Cs 0.8664 0.6336 0.0000
5 K 0.0000 0.0000 0.0000
6 K 0.5000 0.5000 0.0000
7 Ag 0.1661 0.6661 0.5000
8 Ag 0.3339 0.1661 0.5000
9 Ag 0.6661 0.8339 0.5000
10 Ag 0.8339 0.3339 0.5000

Largest 10 diffraction maxima, by angle, 15° ≤ 2θ ≤ 90°:
2theta, I (rel.)
26.3, 39
28.0, 100
33.5, 13
35.6, 13
36.9, 8
40.7, 12
42.2, 9
50.5, 12
50.6, 22
68.7, 7